Theoretical powder diffraction line list
Compound: ErPu3Pb4
Radiation: Cu Kα X-rays
Structure: a structure optimized by DFT (PBE)

abc: 4.522 4.988 9.975
angles: 90.00 90.00 90.00
Positions (direct):
Er  0.000  0.000  0.000
Pu  0.000  0.000  0.500
Pu  0.000  0.500  0.251
Pu  0.000  0.500  0.749
Pb  0.500  0.000  0.247
Pb  0.500  0.000  0.753
Pb  0.500  0.500  0.000
Pb  0.500  0.500  0.500

Top 8 peaks for 2θ from 15° to 90°, in order of falling intensity:
| (hkl) | 2θ/deg | I/Imax |
| --- | --- | --- |
| 1 1 2 | 32.2 | 1000 |
| 0 2 0 | 36.0 | 373 |
| 1 3 2 | 62.3 | 313 |
| 2 2 0 | 54.8 | 229 |
| 2 0 0 | 39.9 | 142 |
| 0 2 4 | 51.8 | 135 |
| 2 2 4 | 67.3 | 125 |
| 3 1 2 | 67.6 | 124 |